TlC4S4N: theoretical powder diffraction line list (Cu Kα (weighted mean of Kα1 and Kα2)), based on a structure optimized by DFT (GGA-PBE).
Peak positions follow from Bragg's law for the DFT cell and can differ from measured ones.

Largest 6 diffraction maxima, by angle, 2θ = 10–90°:
2θ/deg	intensity	hkl
10.9	57	0 1 -1
11.0	100	0 1 0
17.9	100	0 1 1
21.3	72	1 -2 1
24.1	89	1 -2 2
27.6	52	2 0 1

Structural model:
a b c (Å): 7.424 9.215 10.095
angles (deg): 116.83 91.98 99.09
Space group P-1 (No. 2)
Asymmetric unit:
Tl1 0.235 0.395 0.062
C1 0.013 0.201 0.432
C2 0.111 0.772 0.480
C3 0.245 0.763 0.402
C4 0.248 0.116 0.260
S1 0.203 0.721 0.891
S2 0.351 0.006 0.129
S3 0.352 0.551 0.871
S4 0.412 0.752 0.308
N1 0.126 0.162 0.342